Diffraction record for CsOs3Se5. The PXRD pattern is calculated, not measured: it uses a GGA-PBE-relaxed structure and Cu Kα (λ = 1.5418 Å).

Main lines, low angle first (10 to 80 degrees two-theta):
11.87 deg, intensity 100; 21.25 deg, intensity 35; 23.86 deg, intensity 15; 30.66 deg, intensity 14; 35.55 deg, intensity 30; 37.61 deg, intensity 35; 43.27 deg, intensity 81; 48.85 deg, intensity 13; 51.59 deg, intensity 16; 63.84 deg, intensity 18

Crystal structure
```
9
Lattice="5.832 0.000 0.000 -2.916 5.050 0.000 0.000 0.000 7.458" Properties=species:S:1:pos:R:3 pbc="T T T"
Cs 0.000 0.000 0.000
Os -1.458 2.525 3.729
Os 2.916 0.000 3.729
Os 1.458 2.525 3.729
Se 0.000 0.000 3.729
Se 0.000 3.367 1.920
Se 0.000 3.367 5.538
Se 2.916 1.683 1.920
Se 2.916 1.683 5.538
```